Theoretical powder XRD pattern of Mg2NiWO6 for copper Kα, from a GGA+U-relaxed structure.

Main lines, in order of falling intensity (10° ≤ 2θ ≤ 90°):
(hkl)	Position (°2θ)	I_rel
1 1 -1	24.63	100
1 1 1	32.66	94
1 1 -3	33.05	77
0 0 2	21.41	66
0 1 1	20.09	64
2 2 -2	50.48	45
0 2 0	34.36	29
1 0 -2	20.86	27
2 0 -2	35.84	24
0 2 4	56.67	22
0 0 4	43.62	21
2 1 -1	41.28	19

Cell and atoms:
a = 5.012 Å, b = 5.220 Å, c = 9.627 Å
α = 90.00°, β = 120.43°, γ = 90.00°
Space group P2_1/c (No. 14)
Inequivalent atoms, fractional coordinates:
Mg 0.206 0.055 0.235 (multiplicity 4)
Ni 0.000 0.000 0.500 (multiplicity 2)
W 0.500 0.000 0.000 (multiplicity 2)
O 0.135 0.199 0.943 (multiplicity 4)
O 0.207 0.707 0.898 (multiplicity 4)
O 0.449 0.096 0.793 (multiplicity 4)